[1]
Simulated PXRD pattern
Compound: ScAlP2
Radiation: λ = 1.5418 Å (Cu Kα)
Structure: a cell relaxed with GGA-PBE

Structure:
a b c (Å): 3.637 3.364 12.141
angles (deg): 90.00 90.00 90.00
Space group Amm2 (No. 38)
Inequivalent atoms, fractional coordinates:
Sc (0.000, 0.000, 0.000)
Al (0.500, 0.000, 0.765)
P (0.000, 0.000, 0.321)
P (0.500, 0.000, 0.571)

Peak list (10 most intense, 2θ = 15–90°, in order of rising 2θ)
d (Å)  2θ (°)  I_rel
3.120  28.61  40
3.035  29.43  51
2.587  34.67  30
2.420  37.15  100
2.108  42.90  65
1.969  46.10  24
1.819  50.16  22
1.768  51.69  35
1.682  54.55  17
1.219  78.47  20

---

[2]
Simulated PXRD pattern
Compound: La5Y3
Radiation: λ = 1.5418 Å (Cu Kα)
Structure: a cell relaxed with GGA-PBE

Structure:
a b c (Å): 5.140 5.223 10.447
angles (deg): 90.00 90.00 90.00
Space group Pmmm (No. 47)
Inequivalent atoms, fractional coordinates:
La (0.000, 0.000, 0.000)
La (0.000, 0.000, 0.500)
La (0.000, 0.500, 0.248)
La (0.500, 0.500, 0.500)
Y (0.500, 0.000, 0.248)
Y (0.500, 0.500, 0.000)

Peak list (10 most intense, 2θ = 15–90°, in order of rising 2θ)
d (Å)  2θ (°)  I_rel
2.999  29.79  100
2.612  34.34  34
2.570  34.91  16
1.847  49.35  12
1.832  49.78  24
1.572  58.71  29
1.554  59.47  14
1.500  61.87  12
1.197  80.17  6
1.189  80.83  11

---

> Which formula does entry 2 have?

La5Y3